Entry 1:
This entry pairs a crystal structure of Dy4Y2Er7 with its computed powder diffraction line list. Radiation: λ = 1.5418 Å (Cu Kα). Structure: a cell relaxed with PBE.
Peak positions follow from Bragg's law for the DFT cell and can differ from measured ones.

The 6 most intense peaks (15 to 90 degrees two-theta), by intensity:
2θ (°)  I/Imax
32.6  100
30.4  62
36.1  33
52.6  32
51.3  20
26.4  18

Structure:
```
data_Dy4Y2Er7
_cell_length_a 6.029
_cell_length_b 6.029
_cell_length_c 13.239
_cell_angle_alpha 90.00
_cell_angle_beta 90.00
_cell_angle_gamma 120.00
_space_group_name_H-M_alt 'P 1'
_space_group_IT_number 1
loop_
_space_group_symop_operation_xyz
'x,y,z'
loop_
_atom_site_label
_atom_site_type_symbol
_atom_site_fract_x
_atom_site_fract_y
_atom_site_fract_z
Dy1 Dy 0.000 0.000 0.106
Dy2 Dy 0.000 0.000 0.894
Dy3 Dy 0.333 0.667 0.000
Dy4 Dy 0.667 0.333 0.000
Y1 Y 0.333 0.667 0.500
Y2 Y 0.667 0.333 0.500
Er1 Er 0.000 0.000 0.500
Er2 Er 0.000 0.352 0.715
Er3 Er 0.000 0.648 0.285
Er4 Er 0.352 0.000 0.715
Er5 Er 0.352 0.352 0.285
Er6 Er 0.648 0.000 0.285
Er7 Er 0.648 0.648 0.715
```

=====

Entry 2:
This entry pairs a crystal structure of Dy7Y2Er4 with its computed powder diffraction line list. Radiation: λ = 1.5418 Å (Cu Kα). Structure: a cell relaxed with PBE.
Peak positions follow from Bragg's law for the DFT cell and can differ from measured ones.

The 6 most intense peaks (15 to 90 degrees two-theta), by intensity:
2θ (°)  I/Imax
31.7  100
32.0  97
31.8  97
32.6  95
31.6  83
31.1  72

Structure:
```
data_Dy7Y2Er4
_cell_length_a 6.453
_cell_length_b 8.678
_cell_length_c 8.829
_cell_angle_alpha 61.02
_cell_angle_beta 80.43
_cell_angle_gamma 71.80
_space_group_name_H-M_alt 'P 1'
_space_group_IT_number 1
loop_
_space_group_symop_operation_xyz
'x,y,z'
loop_
_atom_site_label
_atom_site_type_symbol
_atom_site_fract_x
_atom_site_fract_y
_atom_site_fract_z
Dy1 Dy 0.000 0.000 0.000
Dy2 Dy 0.114 0.565 0.103
Dy3 Dy 0.210 0.614 0.454
Dy4 Dy 0.428 0.707 0.710
Dy5 Dy 0.572 0.293 0.290
Dy6 Dy 0.790 0.386 0.546
Dy7 Dy 0.886 0.435 0.897
Y1 Y 0.130 0.109 0.320
Y2 Y 0.870 0.891 0.680
Er1 Er 0.331 0.126 0.668
Er2 Er 0.444 0.248 0.944
Er3 Er 0.556 0.752 0.056
Er4 Er 0.669 0.874 0.332
```

=====

Entry 3:
This entry pairs a crystal structure of Dy2YEr9 with its computed powder diffraction line list. Radiation: λ = 1.5418 Å (Cu Kα). Structure: a cell relaxed with PBE.
Peak positions follow from Bragg's law for the DFT cell and can differ from measured ones.

The 6 most intense peaks (15 to 90 degrees two-theta), by intensity:
2θ (°)  I/Imax
32.2  100
31.7  51
63.1  29
35.7  26
30.3  22
57.4  18

Structure:
```
data_Dy2YEr9
_cell_length_a 11.114
_cell_length_b 11.114
_cell_length_c 3.478
_cell_angle_alpha 90.00
_cell_angle_beta 90.00
_cell_angle_gamma 120.00
_space_group_name_H-M_alt 'P 1'
_space_group_IT_number 1
loop_
_space_group_symop_operation_xyz
'x,y,z'
loop_
_atom_site_label
_atom_site_type_symbol
_atom_site_fract_x
_atom_site_fract_y
_atom_site_fract_z
Dy1 Dy 0.333 0.667 0.000
Dy2 Dy 0.667 0.333 0.000
Y1 Y 0.000 0.000 0.000
Er1 Er 0.000 0.500 0.000
Er2 Er 0.177 0.353 0.500
Er3 Er 0.177 0.823 0.500
Er4 Er 0.353 0.177 0.500
Er5 Er 0.500 0.000 0.000
Er6 Er 0.500 0.500 0.000
Er7 Er 0.647 0.823 0.500
Er8 Er 0.823 0.177 0.500
Er9 Er 0.823 0.647 0.500
```

=====

Entry 4:
This entry pairs a crystal structure of Dy9Y3Er2 with its computed powder diffraction line list. Radiation: λ = 1.5418 Å (Cu Kα). Structure: a cell relaxed with PBE.
Peak positions follow from Bragg's law for the DFT cell and can differ from measured ones.

The 6 most intense peaks (15 to 90 degrees two-theta), by intensity:
2θ (°)  I/Imax
31.5  100
32.1  37
34.9  27
33.1  23
31.3  20
33.6  20

Structure:
```
data_Dy9Y3Er2
_cell_length_a 6.224
_cell_length_b 8.655
_cell_length_c 8.744
_cell_angle_alpha 80.04
_cell_angle_beta 77.21
_cell_angle_gamma 87.96
_space_group_name_H-M_alt 'P 1'
_space_group_IT_number 1
loop_
_space_group_symop_operation_xyz
'x,y,z'
loop_
_atom_site_label
_atom_site_type_symbol
_atom_site_fract_x
_atom_site_fract_y
_atom_site_fract_z
Dy1 Dy 0.000 0.000 0.000
Dy2 Dy 0.011 0.516 0.167
Dy3 Dy 0.160 0.090 0.588
Dy4 Dy 0.309 0.145 0.184
Dy5 Dy 0.414 0.447 0.387
Dy6 Dy 0.506 0.758 0.584
Dy7 Dy 0.597 0.070 0.780
Dy8 Dy 0.702 0.372 0.982
Dy9 Dy 0.851 0.426 0.579
Y1 Y 0.259 0.382 0.809
Y2 Y 0.505 0.758 0.083
Y3 Y 0.752 0.135 0.358
Er1 Er 0.058 0.791 0.385
Er2 Er 0.953 0.725 0.782
```

=====

Entry 5:
This entry pairs a crystal structure of DyY9Er2 with its computed powder diffraction line list. Radiation: λ = 1.5418 Å (Cu Kα). Structure: a cell relaxed with PBE.
Peak positions follow from Bragg's law for the DFT cell and can differ from measured ones.

The 6 most intense peaks (15 to 90 degrees two-theta), by intensity:
2θ (°)  I/Imax
30.8  100
35.7  50
61.1  41
51.3  35
83.8  17
86.5  16

Structure:
```
data_DyY9Er2
_cell_length_a 5.033
_cell_length_b 5.033
_cell_length_c 15.102
_cell_angle_alpha 90.00
_cell_angle_beta 90.00
_cell_angle_gamma 90.00
_space_group_name_H-M_alt 'P 1'
_space_group_IT_number 1
loop_
_space_group_symop_operation_xyz
'x,y,z'
loop_
_atom_site_label
_atom_site_type_symbol
_atom_site_fract_x
_atom_site_fract_y
_atom_site_fract_z
Dy1 Dy 0.000 0.000 0.000
Y1 Y 0.000 0.500 0.167
Y2 Y 0.000 0.500 0.500
Y3 Y 0.000 0.500 0.833
Y4 Y 0.500 0.000 0.167
Y5 Y 0.500 0.000 0.500
Y6 Y 0.500 0.000 0.833
Y7 Y 0.500 0.500 0.000
Y8 Y 0.500 0.500 0.334
Y9 Y 0.500 0.500 0.666
Er1 Er 0.000 0.000 0.334
Er2 Er 0.000 0.000 0.666
```

=====

Entry 6:
This entry pairs a crystal structure of Dy2Y4Er3 with its computed powder diffraction line list. Radiation: λ = 1.5418 Å (Cu Kα). Structure: a cell relaxed with PBE.
Peak positions follow from Bragg's law for the DFT cell and can differ from measured ones.

The 6 most intense peaks (15 to 90 degrees two-theta), by intensity:
2θ (°)  I/Imax
31.9  100
30.3  67
31.2  58
31.0  44
38.3  31
37.6  28

Structure:
```
data_Dy2Y4Er3
_cell_length_a 9.915
_cell_length_b 9.915
_cell_length_c 6.129
_cell_angle_alpha 94.67
_cell_angle_beta 94.67
_cell_angle_gamma 71.25
_space_group_name_H-M_alt 'P 1'
_space_group_IT_number 1
loop_
_space_group_symop_operation_xyz
'x,y,z'
loop_
_atom_site_label
_atom_site_type_symbol
_atom_site_fract_x
_atom_site_fract_y
_atom_site_fract_z
Dy1 Dy 0.024 0.736 0.678
Dy2 Dy 0.264 0.976 0.822
Dy3 Dy 0.736 0.024 0.178
Dy4 Dy 0.976 0.264 0.322
Y1 Y 0.072 0.353 0.847
Y2 Y 0.311 0.597 0.987
Y3 Y 0.353 0.072 0.347
Y4 Y 0.403 0.689 0.513
Y5 Y 0.597 0.311 0.487
Y6 Y 0.647 0.928 0.653
Y7 Y 0.689 0.403 0.013
Y8 Y 0.928 0.647 0.153
Er1 Er 0.094 0.906 0.250
Er2 Er 0.236 0.430 0.416
Er3 Er 0.430 0.236 0.916
Er4 Er 0.570 0.764 0.084
Er5 Er 0.764 0.570 0.584
Er6 Er 0.906 0.094 0.750
```

=====

Entry 7:
This entry pairs a crystal structure of Dy19Y4Er6 with its computed powder diffraction line list. Radiation: λ = 1.5418 Å (Cu Kα). Structure: a cell relaxed with PBE.
Peak positions follow from Bragg's law for the DFT cell and can differ from measured ones.

The 6 most intense peaks (15 to 90 degrees two-theta), by intensity:
2θ (°)  I/Imax
30.5  100
36.8  96
28.7  85
26.8  75
35.4  57
60.5  38

Structure:
```
data_Dy19Y4Er6
_cell_length_a 10.772
_cell_length_b 10.772
_cell_length_c 10.772
_cell_angle_alpha 109.47
_cell_angle_beta 109.47
_cell_angle_gamma 109.47
_space_group_name_H-M_alt 'P 1'
_space_group_IT_number 1
loop_
_space_group_symop_operation_xyz
'x,y,z'
loop_
_atom_site_label
_atom_site_type_symbol
_atom_site_fract_x
_atom_site_fract_y
_atom_site_fract_z
Dy1 Dy 0.000 0.000 0.000
Dy2 Dy 0.000 0.263 0.263
Dy3 Dy 0.000 0.737 0.737
Dy4 Dy 0.014 0.801 0.340
Dy5 Dy 0.199 0.213 0.539
Dy6 Dy 0.213 0.539 0.199
Dy7 Dy 0.263 0.000 0.263
Dy8 Dy 0.263 0.263 0.000
Dy9 Dy 0.326 0.787 0.986
Dy10 Dy 0.340 0.014 0.801
Dy11 Dy 0.461 0.674 0.660
Dy12 Dy 0.539 0.199 0.213
Dy13 Dy 0.660 0.461 0.674
Dy14 Dy 0.674 0.660 0.461
Dy15 Dy 0.737 0.000 0.737
Dy16 Dy 0.737 0.737 0.000
Dy17 Dy 0.787 0.986 0.326
Dy18 Dy 0.801 0.340 0.014
Dy19 Dy 0.986 0.326 0.787
Y1 Y 0.000 0.000 0.643
Y2 Y 0.000 0.643 0.000
Y3 Y 0.357 0.357 0.357
Y4 Y 0.643 0.000 0.000
Er1 Er 0.128 0.628 0.500
Er2 Er 0.372 0.500 0.872
Er3 Er 0.500 0.128 0.628
Er4 Er 0.500 0.872 0.372
Er5 Er 0.628 0.500 0.128
Er6 Er 0.872 0.372 0.500
```

=====

Entry 8:
This entry pairs a crystal structure of Dy2YEr7 with its computed powder diffraction line list. Radiation: λ = 1.5418 Å (Cu Kα). Structure: a cell relaxed with PBE.
Peak positions follow from Bragg's law for the DFT cell and can differ from measured ones.

The 6 most intense peaks (15 to 90 degrees two-theta), by intensity:
2θ (°)  I/Imax
31.7  100
31.0  84
33.3  46
33.6  41
48.0  31
62.7  29

Structure:
```
data_Dy2YEr7
_cell_length_a 9.375
_cell_length_b 9.375
_cell_length_c 9.375
_cell_angle_alpha 146.62
_cell_angle_beta 136.34
_cell_angle_gamma 56.05
_space_group_name_H-M_alt 'P 1'
_space_group_IT_number 1
loop_
_space_group_symop_operation_xyz
'x,y,z'
loop_
_atom_site_label
_atom_site_type_symbol
_atom_site_fract_x
_atom_site_fract_y
_atom_site_fract_z
Dy1 Dy 0.199 0.199 0.000
Dy2 Dy 0.801 0.801 0.000
Y1 Y 0.500 0.000 0.500
Er1 Er 0.000 0.000 0.000
Er2 Er 0.140 0.390 0.749
Er3 Er 0.300 0.800 0.500
Er4 Er 0.359 0.610 0.749
Er5 Er 0.641 0.390 0.251
Er6 Er 0.700 0.200 0.500
Er7 Er 0.860 0.610 0.251
```

=====

Entry 9:
This entry pairs a crystal structure of Dy2Y2Er3 with its computed powder diffraction line list. Radiation: λ = 1.5418 Å (Cu Kα). Structure: a cell relaxed with PBE.
Peak positions follow from Bragg's law for the DFT cell and can differ from measured ones.

The 6 most intense peaks (15 to 90 degrees two-theta), by intensity:
2θ (°)  I/Imax
31.6  100
33.1  99
32.0  84
31.3  75
36.0  66
32.2  66

Structure:
```
data_Dy2Y2Er3
_cell_length_a 6.396
_cell_length_b 10.853
_cell_length_c 6.492
_cell_angle_alpha 90.00
_cell_angle_beta 93.55
_cell_angle_gamma 90.00
_space_group_name_H-M_alt 'P 1'
_space_group_IT_number 1
loop_
_space_group_symop_operation_xyz
'x,y,z'
loop_
_atom_site_label
_atom_site_type_symbol
_atom_site_fract_x
_atom_site_fract_y
_atom_site_fract_z
Dy1 Dy 0.054 0.150 0.459
Dy2 Dy 0.054 0.350 0.959
Dy3 Dy 0.946 0.650 0.041
Dy4 Dy 0.946 0.850 0.541
Y1 Y 0.378 0.735 0.745
Y2 Y 0.378 0.765 0.245
Y3 Y 0.622 0.235 0.755
Y4 Y 0.622 0.265 0.255
Er1 Er 0.247 0.045 0.961
Er2 Er 0.247 0.455 0.461
Er3 Er 0.500 0.000 0.500
Er4 Er 0.500 0.500 0.000
Er5 Er 0.753 0.545 0.539
Er6 Er 0.753 0.955 0.039
```

=====

Entry 10:
This entry pairs a crystal structure of DyY2Er12 with its computed powder diffraction line list. Radiation: λ = 1.5418 Å (Cu Kα). Structure: a cell relaxed with PBE.
Peak positions follow from Bragg's law for the DFT cell and can differ from measured ones.

The 6 most intense peaks (15 to 90 degrees two-theta), by intensity:
2θ (°)  I/Imax
32.5  100
31.9  48
31.4  29
34.3  26
34.9  23
57.2  20

Structure:
```
data_DyY2Er12
_cell_length_a 3.601
_cell_length_b 5.616
_cell_length_c 23.240
_cell_angle_alpha 90.00
_cell_angle_beta 94.41
_cell_angle_gamma 90.00
_space_group_name_H-M_alt 'P 1'
_space_group_IT_number 1
loop_
_space_group_symop_operation_xyz
'x,y,z'
loop_
_atom_site_label
_atom_site_type_symbol
_atom_site_fract_x
_atom_site_fract_y
_atom_site_fract_z
Dy1 Dy 0.000 0.000 0.000
Y1 Y 0.142 0.000 0.285
Y2 Y 0.858 0.000 0.715
Er1 Er 0.097 0.500 0.193
Er2 Er 0.221 0.500 0.443
Er3 Er 0.287 0.000 0.574
Er4 Er 0.339 0.500 0.677
Er5 Er 0.428 0.000 0.854
Er6 Er 0.463 0.500 0.933
Er7 Er 0.537 0.500 0.067
Er8 Er 0.572 0.000 0.146
Er9 Er 0.661 0.500 0.323
Er10 Er 0.713 0.000 0.426
Er11 Er 0.779 0.500 0.557
Er12 Er 0.903 0.500 0.807
```

=====

Entry 11:
This entry pairs a crystal structure of Dy2Y4Er5 with its computed powder diffraction line list. Radiation: λ = 1.5418 Å (Cu Kα). Structure: a cell relaxed with PBE.
Peak positions follow from Bragg's law for the DFT cell and can differ from measured ones.

The 6 most intense peaks (15 to 90 degrees two-theta), by intensity:
2θ (°)  I/Imax
32.3  100
32.2  81
31.8  59
56.9  37
33.3  37
29.8  36

Structure:
```
data_Dy2Y4Er5
_cell_length_a 8.609
_cell_length_b 8.609
_cell_length_c 9.189
_cell_angle_alpha 121.69
_cell_angle_beta 121.69
_cell_angle_gamma 38.20
_space_group_name_H-M_alt 'P 1'
_space_group_IT_number 1
loop_
_space_group_symop_operation_xyz
'x,y,z'
loop_
_atom_site_label
_atom_site_type_symbol
_atom_site_fract_x
_atom_site_fract_y
_atom_site_fract_z
Dy1 Dy 0.095 0.095 0.260
Dy2 Dy 0.905 0.905 0.740
Y1 Y 0.184 0.184 0.987
Y2 Y 0.452 0.452 0.195
Y3 Y 0.548 0.548 0.805
Y4 Y 0.816 0.816 0.013
Er1 Er 0.000 0.000 0.500
Er2 Er 0.285 0.285 0.742
Er3 Er 0.344 0.344 0.436
Er4 Er 0.656 0.656 0.564
Er5 Er 0.715 0.715 0.258
```

=====

Entry 12:
This entry pairs a crystal structure of Dy3Y8Er with its computed powder diffraction line list. Radiation: λ = 1.5418 Å (Cu Kα). Structure: a cell relaxed with PBE.
Peak positions follow from Bragg's law for the DFT cell and can differ from measured ones.

The 6 most intense peaks (15 to 90 degrees two-theta), by intensity:
2θ (°)  I/Imax
32.9  100
20.0  51
58.8  37
38.8  28
47.3  18
78.7  16

Structure:
```
data_Dy3Y8Er
_cell_length_a 9.421
_cell_length_b 9.421
_cell_length_c 9.421
_cell_angle_alpha 131.85
_cell_angle_beta 131.85
_cell_angle_gamma 70.47
_space_group_name_H-M_alt 'P 1'
_space_group_IT_number 1
loop_
_space_group_symop_operation_xyz
'x,y,z'
loop_
_atom_site_label
_atom_site_type_symbol
_atom_site_fract_x
_atom_site_fract_y
_atom_site_fract_z
Dy1 Dy 0.000 0.000 0.000
Dy2 Dy 0.250 0.750 0.500
Dy3 Dy 0.750 0.250 0.500
Y1 Y 0.125 0.125 0.501
Y2 Y 0.125 0.625 0.000
Y3 Y 0.375 0.375 0.501
Y4 Y 0.375 0.875 0.000
Y5 Y 0.625 0.125 0.000
Y6 Y 0.625 0.625 0.499
Y7 Y 0.875 0.375 0.000
Y8 Y 0.875 0.875 0.499
Er1 Er 0.500 0.500 0.000
```